Computed powder X-ray diffraction pattern of Pm2Zn3Pt for Cu Kα (λ = 1.5418 Å), from a structure optimized by DFT (PBE).
No peak broadening, texture or thermal motion is included.

Structural model:
Cell: 7.325 9.023 15.480 Å, 90.00 90.00 90.00°
Space group Fmmm (No. 69)
One atom of each set of equivalent atoms:
1 Pm 0.241 0.000 0.000
2 Pm 0.250 0.250 0.250
3 Zn 0.000 0.000 0.335
4 Zn 0.000 0.248 0.417
5 Pt 0.000 0.000 0.166

Peak list (10 most intense, 2θ = 10–90°, by angle)
d_spacing	2θ (°)	I (rel.)	(hkl)
3.821	23.28	13	1 1 3
2.669	33.58	100	2 2 2
2.660	33.69	50	2 0 4
2.256	39.97	31	0 4 0
2.240	40.27	61	0 2 6
1.831	49.79	16	4 0 0
1.720	53.24	27	2 4 4
1.711	53.56	13	2 0 8
1.422	65.67	14	4 4 0
1.418	65.88	28	4 2 6